1.
Computed X-ray powder pattern
Compound: Zr18Co5Sn4
Radiation: Cu Kα (λ = 1.5418 Å)
Structure: a crystal structure in the Materials Project, relaxed with GGA-PBE
Kinematic intensities with the Lorentz-polarization factor, no thermal factor.

Main lines, in order of falling intensity (2θ = 15–90°):
| 2θ (°) | I/Imax | h k l |
| --- | --- | --- |
| 34.9 | 1000 | 2 1 -1 |
| 34.2 | 917 | 3 0 -3 |
| 37.3 | 891 | 2 1 2 |
| 43.8 | 465 | 3 1 0 |
| 38.9 | 456 | 3 0 -6 |
| 64.8 | 368 | 5 1 -4 |

Atomic structure:
a b c (Å): 8.013 3.349 21.199
angles (deg): 90.00 100.88 90.00
Space group Pm (No. 6)
Inequivalent atoms, fractional coordinates:
Zr 0.000 0.000 0.000 (multiplicity 1)
Zr 0.007 0.500 0.601 (multiplicity 1)
Zr 0.018 0.500 0.348 (multiplicity 1)
Zr 0.092 0.500 0.764 (multiplicity 1)
Zr 0.128 0.000 0.480 (multiplicity 1)
Zr 0.288 0.000 0.886 (multiplicity 1)
Zr 0.323 0.000 0.683 (multiplicity 1)
Zr 0.338 0.500 0.265 (multiplicity 1)
Zr 0.350 0.500 0.017 (multiplicity 1)
Zr 0.424 0.500 0.428 (multiplicity 1)
Zr 0.497 0.000 0.161 (multiplicity 1)
Zr 0.665 0.000 0.333 (multiplicity 1)
Zr 0.665 0.000 0.550 (multiplicity 1)
Zr 0.673 0.500 0.934 (multiplicity 1)
Zr 0.683 0.500 0.684 (multiplicity 1)
Zr 0.760 0.500 0.096 (multiplicity 1)
Zr 0.829 0.000 0.829 (multiplicity 1)
Zr 0.952 0.000 0.218 (multiplicity 1)
Co 0.039 0.500 0.903 (multiplicity 1)
Co 0.262 0.000 0.347 (multiplicity 1)
Co 0.594 0.000 0.015 (multiplicity 1)
Co 0.705 0.500 0.238 (multiplicity 1)
Co 0.926 0.000 0.684 (multiplicity 1)
Sn 0.150 0.500 0.126 (multiplicity 1)
Sn 0.372 0.500 0.571 (multiplicity 1)
Sn 0.488 0.500 0.798 (multiplicity 1)
Sn 0.810 0.500 0.455 (multiplicity 1)

2.
Computed X-ray powder pattern
Compound: ZrCoSn
Radiation: Cu Kα (λ = 1.5418 Å)
Structure: a crystal structure in the Materials Project, relaxed with GGA-PBE
Kinematic intensities with the Lorentz-polarization factor, no thermal factor.

Main lines, in order of falling intensity (2θ = 15–90°):
| 2θ (°) | I/Imax | h k l |
| --- | --- | --- |
| 35.3 | 1000 | 1 1 1 |
| 38.3 | 549 | 2 0 1 |
| 38.4 | 455 | 2 1 0 |
| 43.8 | 353 | 3 0 0 |
| 71.3 | 271 | 3 2 1 |
| 46.2 | 218 | 2 1 1 |

Atomic structure:
a b c (Å): 7.1568 7.1568 3.6100
angles (deg): 90.00 90.00 120.00
Space group P-62m (No. 189)
Inequivalent atoms, fractional coordinates:
Zr 0.0000 0.6020 0.0000 (multiplicity 3)
Co 0.0000 0.0000 0.0000 (multiplicity 1)
Co 0.3333 0.6667 0.5000 (multiplicity 2)
Sn 0.0000 0.2652 0.5000 (multiplicity 3)